This entry pairs a crystal structure of Pm4FeGe8 with its computed PXRD pattern. Radiation: Cu Kα (weighted mean of Kα1 and Kα2). Structure: a DFT-relaxed cell (PBE, Alexandria).
Lines closer than 0.1° are merged.

Peak list (8 most intense, 10 to 90 degrees two-theta, low angle first)
(hkl)	Position (°2θ)	I_rel
0 0 6	32.73	15
0 1 5	34.57	18
1 1 3	34.68	100
1 0 6	39.69	17
0 2 0	42.70	19
2 0 0	44.51	17
0 1 9	54.81	15
1 2 6	59.70	14

Crystal structure
```
data_Pm4FeGe8
_symmetry_space_group_name_H-M 'P m m 2'
_symmetry_Int_Tables_number 25
_cell_length_a 4.072
_cell_length_b 4.235
_cell_length_c 16.418
_cell_angle_alpha 90.00
_cell_angle_beta 90.00
_cell_angle_gamma 90.00
loop_
_symmetry_equiv_pos_as_xyz
'x,y,z'
'-x,-y,z'
'-x,y,z'
'x,-y,z'
loop_
_atom_site_label
_atom_site_type_symbol
_atom_site_fract_x
_atom_site_fract_y
_atom_site_fract_z
Pm1 Pm 0.000 0.000 0.000
Pm2 Pm 0.000 0.500 0.498
Pm3 Pm 0.500 0.000 0.791
Pm4 Pm 0.500 0.500 0.291
Fe1 Fe 0.000 0.500 0.704
Ge1 Ge 0.000 0.000 0.343
Ge2 Ge 0.000 0.000 0.639
Ge3 Ge 0.000 0.500 0.142
Ge4 Ge 0.000 0.500 0.848
Ge5 Ge 0.500 0.000 0.148
Ge6 Ge 0.500 0.000 0.445
Ge7 Ge 0.500 0.500 0.636
Ge8 Ge 0.500 0.500 0.948
```

***

This entry pairs a crystal structure of Sr2Cu2BiO6 with its computed PXRD pattern. Radiation: Cu Kα (weighted mean of Kα1 and Kα2). Structure: a DFT-relaxed cell (PBE, Alexandria).
Lines closer than 0.1° are merged.

Peak list (8 most intense, 10 to 90 degrees two-theta, low angle first)
(hkl)	Position (°2θ)	I_rel
1 0 1	17.83	26
0 1 2	20.13	26
1 0 4	27.55	21
1 1 0	29.65	100
0 1 5	32.07	76
2 0 5	44.24	36
3 0 0	52.62	20
1 2 5	54.16	38

Crystal structure
```
data_Sr2Cu2BiO6
_symmetry_space_group_name_H-M 'R -3 m'
_symmetry_Int_Tables_number 166
_symmetry_space_group_name_Hall '-R 3 2"'
_cell_length_a 6.0252
_cell_length_b 6.0252
_cell_length_c 16.5168
_cell_angle_alpha 90.00
_cell_angle_beta 90.00
_cell_angle_gamma 120.00
loop_
_atom_site_label
_atom_site_type_symbol
_atom_site_fract_x
_atom_site_fract_y
_atom_site_fract_z
Sr1 Sr 0.0000 0.0000 0.2107
Cu1 Cu 0.0000 0.0000 0.4189
Bi1 Bi 0.0000 0.0000 0.0000
O1 O 0.0236 0.5118 0.7557
```

***

This entry pairs a crystal structure of ZrNpCo with its computed PXRD pattern. Radiation: Cu Kα (weighted mean of Kα1 and Kα2). Structure: a DFT-relaxed cell (PBE, Alexandria).
Lines closer than 0.1° are merged.

Peak list (8 most intense, 10 to 90 degrees two-theta, low angle first)
(hkl)	Position (°2θ)	I_rel
0 0 4	15.21	44
1 1 1	28.85	35
0 4 0	29.00	31
1 1 3	30.86	37
0 4 4	32.90	100
1 3 3	37.28	75
1 1 7	39.57	81
0 2 10	41.43	39

Crystal structure
```
data_ZrNpCo
_symmetry_space_group_name_H-M 'F d d d'
_symmetry_Int_Tables_number 70
_cell_length_a 3.228
_cell_length_b 12.316
_cell_length_c 23.303
_cell_angle_alpha 90.00
_cell_angle_beta 90.00
_cell_angle_gamma 90.00
loop_
_symmetry_equiv_pos_as_xyz
'x,y,z'
'-x,-y,-z'
'-x+1/4,-y+1/4,z'
'x+1/4,y+1/4,-z'
'x,-y+1/4,-z+1/4'
'-x,y+1/4,z+1/4'
'-x+1/4,y,-z+1/4'
'x+1/4,-y,z+1/4'
'x,y+1/2,z+1/2'
'-x,-y+1/2,-z+1/2'
'-x+1/4,-y+3/4,z+1/2'
'x+1/4,y+3/4,-z+1/2'
'x,-y+3/4,-z+3/4'
'-x,y+3/4,z+3/4'
'-x+1/4,y+1/2,-z+3/4'
'x+1/4,-y+1/2,z+3/4'
'x+1/2,y,z+1/2'
'-x+1/2,-y,-z+1/2'
'-x+3/4,-y+1/4,z+1/2'
'x+3/4,y+1/4,-z+1/2'
'x+1/2,-y+1/4,-z+3/4'
'-x+1/2,y+1/4,z+3/4'
'-x+3/4,y,-z+3/4'
'x+3/4,-y,z+3/4'
'x+1/2,y+1/2,z'
'-x+1/2,-y+1/2,-z'
'-x+3/4,-y+3/4,z'
'x+3/4,y+3/4,-z'
'x+1/2,-y+3/4,-z+1/4'
'-x+1/2,y+3/4,z+1/4'
'-x+3/4,y+1/2,-z+1/4'
'x+3/4,-y+1/2,z+1/4'
loop_
_atom_site_label
_atom_site_type_symbol
_atom_site_fract_x
_atom_site_fract_y
_atom_site_fract_z
Zr1 Zr 0.125 0.260 0.125
Np1 Np 0.125 0.125 0.266
Co1 Co 0.125 0.125 0.564
```

***

This entry pairs a crystal structure of UC2O8F with its computed PXRD pattern. Radiation: Cu Kα (weighted mean of Kα1 and Kα2). Structure: a DFT-relaxed cell (PBE, Alexandria).
Lines closer than 0.1° are merged.

Peak list (8 most intense, 10 to 90 degrees two-theta, low angle first)
(hkl)	Position (°2θ)	I_rel
0 0 1	12.77	100
1 1 0	19.59	93
2 0 -1	20.58	43
1 1 1	25.35	59
2 0 -2	27.20	28
1 1 -2	29.47	31
3 1 -1	34.36	19
1 1 2	35.33	26

Crystal structure
```
data_UC2O8F
_symmetry_space_group_name_H-M 'C 1 2/m 1'
_symmetry_Int_Tables_number 12
_cell_length_a 8.983
_cell_length_b 5.367
_cell_length_c 7.367
_cell_angle_alpha 90.00
_cell_angle_beta 109.73
_cell_angle_gamma 90.00
loop_
_symmetry_equiv_pos_as_xyz
'x,y,z'
'-x,-y,-z'
'-x,y,-z'
'x,-y,z'
'x+1/2,y+1/2,z'
'-x+1/2,-y+1/2,-z'
'-x+1/2,y+1/2,-z'
'x+1/2,-y+1/2,z'
loop_
_atom_site_label
_atom_site_type_symbol
_atom_site_fract_x
_atom_site_fract_y
_atom_site_fract_z
U1 U 0.000 0.000 0.000
C1 C 0.221 0.500 0.226
O1 O 0.126 0.288 0.179
O2 O 0.173 0.000 0.873
O3 O 0.209 0.000 0.575
F1 F 0.000 0.000 0.500
```